1.
# DyNb2Ge2Sb
Theoretical X-ray powder pattern, CuKα. Input: a GGA-PBE-relaxed structure.
Peak positions follow from Bragg's law for the DFT cell and can differ from measured ones.

Structural model:
```
data_DyNb2Ge2Sb
_symmetry_space_group_name_H-M 'P 4 m m'
_symmetry_Int_Tables_number 99
_cell_length_a 4.0653
_cell_length_b 4.0653
_cell_length_c 7.8773
_cell_angle_alpha 90.00
_cell_angle_beta 90.00
_cell_angle_gamma 90.00
loop_
_symmetry_equiv_pos_as_xyz
'x,y,z'
'-y,x,z'
'-x,-y,z'
'y,-x,z'
'-x,y,z'
'y,x,z'
'x,-y,z'
'-y,-x,z'
loop_
_atom_site_label
_atom_site_type_symbol
_atom_site_fract_x
_atom_site_fract_y
_atom_site_fract_z
Dy1 Dy 0.0000 0.0000 0.0000
Nb1 Nb 0.0000 0.5000 0.3542
Ge1 Ge 0.0000 0.0000 0.6118
Ge2 Ge 0.5000 0.5000 0.1141
Sb1 Sb 0.5000 0.5000 0.6497
```

Principal peaks in the range 2θ = 5–70°, in order of rising 2θ:
| (hkl) | Position (°2θ) | intensity |
| --- | --- | --- |
| 1 0 1 | 24.64 | 19 |
| 1 1 0 | 31.11 | 22 |
| 1 0 2 | 31.63 | 39 |
| 1 1 1 | 33.18 | 67 |
| 0 0 3 | 34.15 | 30 |
| 1 1 2 | 38.78 | 100 |
| 2 0 0 | 44.58 | 54 |
| 1 0 4 | 51.57 | 18 |
| 2 0 3 | 57.32 | 27 |
| 2 2 0 | 64.87 | 17 |

***

2.
# Dy3Ni2Ge4
Theoretical X-ray powder pattern, CuKα. Input: a GGA-PBE-relaxed structure.
Peak positions follow from Bragg's law for the DFT cell and can differ from measured ones.

Structural model:
```
data_Dy3Ni2Ge4
_symmetry_space_group_name_H-M 'C 1 2/m 1'
_symmetry_Int_Tables_number 12
_cell_length_a 10.5798
_cell_length_b 4.1659
_cell_length_c 8.0604
_cell_angle_alpha 90.00
_cell_angle_beta 106.66
_cell_angle_gamma 90.00
loop_
_symmetry_equiv_pos_as_xyz
'x,y,z'
'-x,-y,-z'
'-x,y,-z'
'x,-y,z'
'x+1/2,y+1/2,z'
'-x+1/2,-y+1/2,-z'
'-x+1/2,y+1/2,-z'
'x+1/2,-y+1/2,z'
loop_
_atom_site_label
_atom_site_type_symbol
_atom_site_fract_x
_atom_site_fract_y
_atom_site_fract_z
Dy1 Dy 0.0000 0.0000 0.0000
Dy2 Dy 0.1251 0.5000 0.6934
Ni1 Ni 0.1916 0.5000 0.3698
Ge1 Ge 0.0910 0.0000 0.3990
Ge2 Ge 0.2088 0.5000 0.0773
```

Principal peaks in the range 2θ = 5–70°, in order of rising 2θ:
| (hkl) | Position (°2θ) | intensity |
| --- | --- | --- |
| 1 1 -1 | 24.67 | 34 |
| 3 1 -1 | 33.53 | 57 |
| 3 1 0 | 34.19 | 100 |
| 1 1 2 | 34.63 | 68 |
| 0 0 3 | 34.85 | 37 |
| 4 0 1 | 40.52 | 16 |
| 0 2 0 | 43.43 | 88 |
| 6 0 -1 | 51.99 | 13 |
| 0 2 3 | 56.86 | 18 |
| 7 1 -2 | 66.00 | 16 |

***

3.
# Dy2TmNi4Ge4
Theoretical X-ray powder pattern, CuKα. Input: a GGA-PBE-relaxed structure.
Peak positions follow from Bragg's law for the DFT cell and can differ from measured ones.

Structural model:
```
data_Dy2TmNi4Ge4
_symmetry_space_group_name_H-M 'I m m m'
_symmetry_Int_Tables_number 71
_symmetry_space_group_name_Hall '-I 2 2'
_cell_length_a 4.0876
_cell_length_b 6.6706
_cell_length_c 13.5109
_cell_angle_alpha 90.00
_cell_angle_beta 90.00
_cell_angle_gamma 90.00
loop_
_atom_site_label
_atom_site_type_symbol
_atom_site_fract_x
_atom_site_fract_y
_atom_site_fract_z
Dy1 Dy 0.0000 0.0000 0.1294
Tm1 Tm 0.0000 0.5000 0.0000
Ni1 Ni 0.0000 0.1936 0.3244
Ge1 Ge 0.0000 0.3053 0.5000
Ge2 Ge 0.0000 0.5000 0.2170
```

Principal peaks in the range 2θ = 5–70°, in order of rising 2θ:
| (hkl) | Position (°2θ) | intensity |
| --- | --- | --- |
| 1 2 1 | 35.36 | 100 |
| 0 1 5 | 35.86 | 31 |
| 1 1 4 | 37.06 | 100 |
| 0 0 6 | 40.03 | 20 |
| 2 0 0 | 44.32 | 37 |
| 0 3 3 | 45.49 | 29 |
| 1 2 5 | 48.76 | 14 |
| 0 0 8 | 54.26 | 15 |
| 2 1 5 | 58.27 | 15 |
| 2 3 3 | 65.39 | 19 |

***

4.
# Dy2Ge2O5
Theoretical X-ray powder pattern, CuKα. Input: a GGA-PBE-relaxed structure.
Peak positions follow from Bragg's law for the DFT cell and can differ from measured ones.

Structural model:
```
data_Dy2Ge2O5
_symmetry_space_group_name_H-M 'P 4/m m m'
_symmetry_Int_Tables_number 123
_symmetry_space_group_name_Hall '-P 4 2'
_cell_length_a 3.6287
_cell_length_b 3.6287
_cell_length_c 9.3581
_cell_angle_alpha 90.00
_cell_angle_beta 90.00
_cell_angle_gamma 90.00
loop_
_atom_site_label
_atom_site_type_symbol
_atom_site_fract_x
_atom_site_fract_y
_atom_site_fract_z
Dy1 Dy 0.0000 0.0000 0.2452
Ge1 Ge 0.5000 0.5000 0.0000
Ge2 Ge 0.5000 0.5000 0.5000
O1 O 0.0000 0.0000 0.0000
O2 O 0.0000 0.5000 0.3723
```

Principal peaks in the range 2θ = 5–70°, in order of rising 2θ:
| (hkl) | Position (°2θ) | intensity |
| --- | --- | --- |
| 0 0 2 | 18.97 | 9 |
| 1 0 0 | 24.53 | 15 |
| 1 0 2 | 31.19 | 100 |
| 1 1 0 | 34.97 | 32 |
| 0 0 4 | 38.48 | 12 |
| 1 1 2 | 40.08 | 6 |
| 2 0 0 | 50.29 | 19 |
| 1 1 4 | 52.97 | 32 |
| 2 1 2 | 60.37 | 31 |
| 1 0 6 | 65.08 | 23 |